The following is a theoretical X-ray diffraction stick pattern of V2Cu3PbCl2O8. It was derived from DFT lattice parameters and positions (PBE+U), using Cu Kα X-rays.
Neutral-atom scattering factors, no anomalous dispersion.

Atomic structure:
Cell lengths 9.0940, 11.3085, 9.3887 Å; angles 90.00, 90.00, 90.00 degrees
Space group Ibam (No. 72)
Symmetry-distinct sites (fractional):
V 0.0000 0.2055 0.2500
Cu 0.0000 0.0000 0.0000
Cu 0.2493 0.3310 0.0000
Pb 0.0000 0.5000 0.2500
Cl 0.1842 0.4182 0.5000
O 0.0972 0.1104 0.3671
O 0.1159 0.2989 0.1569

Most intense lines, 15 to 90 degrees two-theta, in order of rising 2θ:
- 3.914 Å, I 801
- 3.543 Å, I 348
- 3.266 Å, I 1000
- 2.797 Å, I 804
- 2.484 Å, I 471
- 2.110 Å, I 451